(1)
For In3W, a PBE-relaxed structure gives the theoretical powder diffraction line list in this record (CuKα).
No peak broadening, texture or thermal motion is included.

Top 10 peaks for 2θ = 15–90°, sorted by position:
Position (°2θ), Rel. int., (hkl)
33.91, 72, 1 1 0
38.51, 100, 1 0 2
48.72, 26, 2 0 0
61.94, 6, 0 0 4
63.75, 44, 2 1 2
71.37, 8, 2 2 0
72.53, 14, 1 1 4
81.41, 11, 3 1 0
82.52, 10, 2 0 4
84.14, 10, 3 0 2

Cell and atoms:
Lattice parameters (Å, degrees): 3.7382 3.7382 5.9924 90.00 90.00 90.00
Atoms (fractional coordinates):
In (0.0000, 0.0000, 0.0000)
In (0.5000, 0.5000, 0.2650)
In (0.5000, 0.5000, 0.7350)
W (0.0000, 0.0000, 0.5000)


(2)
For Nd3Zn2Ni3, a PBE-relaxed structure gives the theoretical powder diffraction line list in this record (CuKα).
No peak broadening, texture or thermal motion is included.

Top 10 peaks for 2θ = 15–90°, sorted by position:
Position (°2θ), Rel. int., (hkl)
28.61, 28, 2 1 1
30.98, 24, 1 4 1
33.09, 27, 1 0 2
33.68, 100, 2 4 0
36.43, 35, 0 6 0
37.20, 53, 2 4 1
37.91, 56, 1 3 2
38.57, 36, 3 0 1
41.33, 22, 1 4 2
50.23, 23, 4 0 1

Cell and atoms:
Lattice parameters (Å, degrees): 7.6529 14.7963 5.7892 90.00 90.00 90.00
Atoms (fractional coordinates):
Nd (0.0480, 0.1036, 0.1536)
Nd (0.0480, 0.3964, 0.1536)
Nd (0.1868, 0.2500, 0.6179)
Nd (0.3132, 0.7500, 0.1179)
Nd (0.4520, 0.6036, 0.6536)
Nd (0.4520, 0.8964, 0.6536)
Nd (0.5480, 0.1036, 0.3464)
Nd (0.5480, 0.3964, 0.3464)
Nd (0.6868, 0.2500, 0.8821)
Nd (0.8132, 0.7500, 0.3821)
Nd (0.9520, 0.6036, 0.8464)
Nd (0.9520, 0.8964, 0.8464)
Zn (0.1075, 0.5995, 0.3585)
Zn (0.1075, 0.9005, 0.3585)
Zn (0.3925, 0.0995, 0.8585)
Zn (0.3925, 0.4005, 0.8585)
Zn (0.6075, 0.5995, 0.1415)
Zn (0.6075, 0.9005, 0.1415)
Zn (0.8925, 0.0995, 0.6415)
Zn (0.8925, 0.4005, 0.6415)
Ni (0.1675, 0.7500, 0.5863)
Ni (0.1890, 0.0380, 0.5821)
Ni (0.1890, 0.4620, 0.5821)
Ni (0.3110, 0.5380, 0.0821)
Ni (0.3110, 0.9620, 0.0821)
Ni (0.3325, 0.2500, 0.0863)
Ni (0.6675, 0.7500, 0.9137)
Ni (0.6890, 0.0380, 0.9179)
Ni (0.6890, 0.4620, 0.9179)
Ni (0.8110, 0.5380, 0.4179)
Ni (0.8110, 0.9620, 0.4179)
Ni (0.8325, 0.2500, 0.4137)


(3)
For CoCl, a PBE-relaxed structure gives the theoretical powder diffraction line list in this record (CuKα).
No peak broadening, texture or thermal motion is included.

Top 10 peaks for 2θ = 15–90°, sorted by position:
Position (°2θ), Rel. int., (hkl)
15.92, 75, 2 0 0
25.30, 59, 1 3 0
36.66, 27, 3 0 1
40.19, 70, 2 3 1
41.36, 13, 5 1 0
43.49, 100, 4 1 1
49.55, 69, 3 4 1
56.34, 13, 0 0 2
57.66, 14, 1 1 2
85.78, 20, 6 7 1

Cell and atoms:
Lattice parameters (Å, degrees): 11.1319 11.1319 3.2660 90.00 90.00 90.00
Atoms (fractional coordinates):
Co (0.0301, 0.6088, 0.0000)
Co (0.1088, 0.4699, 0.5000)
Co (0.3912, 0.0301, 0.0000)
Co (0.4699, 0.8912, 0.5000)
Co (0.5301, 0.1088, 0.5000)
Co (0.6088, 0.9699, 0.0000)
Co (0.8912, 0.5301, 0.5000)
Co (0.9699, 0.3912, 0.0000)
Cl (0.0681, 0.7482, 0.5000)
Cl (0.2482, 0.4319, 0.0000)
Cl (0.2518, 0.0681, 0.5000)
Cl (0.4319, 0.7518, 0.0000)
Cl (0.5681, 0.2482, 0.0000)
Cl (0.7482, 0.9319, 0.5000)
Cl (0.7518, 0.5681, 0.0000)
Cl (0.9319, 0.2518, 0.5000)